No. 1
Ti3Zn3Ni: calculated powder XRD pattern (λ = 1.5418 Å (Cu Kα)), based on DFT lattice parameters and positions (PBE).
Neutral-atom scattering factors, no anomalous dispersion.

Cell and atoms:
a b c (Å): 12.1107 12.1107 12.1107
angles (deg): 90.00 90.00 90.00
Space group Fd-3m (No. 227, origin choice 2)
Inequivalent atoms, fractional coordinates:
1 Ti 0.0868 0.3750 0.3750 x48
2 Zn 0.0000 0.0000 0.5000 x16
3 Zn 0.0359 0.0359 0.7141 x32
4 Ni 0.0000 0.0000 0.0000 x16

The 8 most intense peaks (10° ≤ 2θ ≤ 90°), by intensity:
- 42.2°, rel. 100.0, (4 4 0)
- 38.6°, rel. 76.4, (3 3 3)
- 36.3°, rel. 19.6, (4 2 2)
- 50.0°, rel. 17.5, (6 2 2)
- 29.5°, rel. 16.6, (4 0 0)
- 65.4°, rel. 14.8, (6 6 0)
- 82.8°, rel. 14.6, (10 2 2)
- 58.5°, rel. 14.0, (7 3 1)

No. 2
Ti4Zn10Ni: calculated powder XRD pattern (λ = 1.5418 Å (Cu Kα)), based on DFT lattice parameters and positions (PBE).
Neutral-atom scattering factors, no anomalous dispersion.

Cell and atoms:
```
data_Ti4Zn10Ni
_chemical_formula_sum 'Ti8 Zn20 Ni2'
_symmetry_space_group_name_H-M 'I 4/m m m'
_symmetry_Int_Tables_number 139
_symmetry_space_group_name_Hall '-I 4 2'
_cell_length_a 8.6340
_cell_length_b 8.6340
_cell_length_c 6.3345
_cell_angle_alpha 90.00
_cell_angle_beta 90.00
_cell_angle_gamma 90.00
loop_
_atom_site_label
_atom_site_type_symbol
_atom_site_fract_x
_atom_site_fract_y
_atom_site_fract_z
Ti1 Ti 0.2243 0.2243 0.0000
Zn1 Zn 0.0000 0.2085 0.2972
Zn2 Zn 0.0000 0.5000 0.2500
Ni1 Ni 0.0000 0.0000 0.0000
```

The 8 most intense peaks (10° ≤ 2θ ≤ 90°), by intensity:
- 41.9°, rel. 100.0, (4 0 0)
- 41.1°, rel. 85.7, (2 2 2)
- 40.3°, rel. 56.3, (3 2 1)
- 53.5°, rel. 51.4, (3 3 2)
- 43.8°, rel. 51.0, (3 1 2)
- 35.1°, rel. 44.3, (2 0 2)
- 44.2°, rel. 38.6, (1 0 3)
- 32.8°, rel. 30.9, (3 1 0)

No. 3
TiZnNi5: calculated powder XRD pattern (λ = 1.5418 Å (Cu Kα)), based on DFT lattice parameters and positions (PBE).
Neutral-atom scattering factors, no anomalous dispersion.

Cell and atoms:
```
data_TiZnNi5
_chemical_formula_sum 'Ti4 Zn4 Ni20'
_symmetry_space_group_name_H-M 'C 1 2/c 1'
_symmetry_Int_Tables_number 15
_symmetry_space_group_name_Hall '-C 2yc'
_cell_length_a 6.0674
_cell_length_b 6.9007
_cell_length_c 8.5474
_cell_angle_alpha 90.00
_cell_angle_beta 109.07
_cell_angle_gamma 90.00
loop_
_atom_site_label
_atom_site_type_symbol
_atom_site_fract_x
_atom_site_fract_y
_atom_site_fract_z
Ti1 Ti 0.0000 0.2340 0.2500
Zn1 Zn 0.2500 0.2500 0.0000
Ni1 Ni 0.0000 0.1140 0.7500
Ni2 Ni 0.1048 0.4445 0.6501
Ni3 Ni 0.1808 0.0941 0.5422
```

The 8 most intense peaks (10° ≤ 2θ ≤ 90°), by intensity:
- 44.4°, rel. 100.0, (2 0 2)
- 45.2°, rel. 91.5, (1 3 1)
- 47.4°, rel. 36.4, (3 1 -2)
- 46.2°, rel. 33.6, (2 2 -3)
- 41.4°, rel. 23.7, (2 2 -2)
- 63.6°, rel. 14.4, (0 2 5)
- 82.2°, rel. 12.7, (3 3 3)
- 66.9°, rel. 9.8, (2 4 -3)

What did the second record say?
Ti4Zn10Ni: calculated powder XRD pattern (λ = 1.5418 Å (Cu Kα)), based on DFT lattice parameters and positions (PBE).
Neutral-atom scattering factors, no anomalous dispersion.

Cell and atoms:
```
data_Ti4Zn10Ni
_chemical_formula_sum 'Ti8 Zn20 Ni2'
_symmetry_space_group_name_H-M 'I 4/m m m'
_symmetry_Int_Tables_number 139
_symmetry_space_group_name_Hall '-I 4 2'
_cell_length_a 8.6340
_cell_length_b 8.6340
_cell_length_c 6.3345
_cell_angle_alpha 90.00
_cell_angle_beta 90.00
_cell_angle_gamma 90.00
loop_
_atom_site_label
_atom_site_type_symbol
_atom_site_fract_x
_atom_site_fract_y
_atom_site_fract_z
Ti1 Ti 0.2243 0.2243 0.0000
Zn1 Zn 0.0000 0.2085 0.2972
Zn2 Zn 0.0000 0.5000 0.2500
Ni1 Ni 0.0000 0.0000 0.0000
```

The 8 most intense peaks (10° ≤ 2θ ≤ 90°), by intensity:
- 41.9°, rel. 100.0, (4 0 0)
- 41.1°, rel. 85.7, (2 2 2)
- 40.3°, rel. 56.3, (3 2 1)
- 53.5°, rel. 51.4, (3 3 2)
- 43.8°, rel. 51.0, (3 1 2)
- 35.1°, rel. 44.3, (2 0 2)
- 44.2°, rel. 38.6, (1 0 3)
- 32.8°, rel. 30.9, (3 1 0)